1.
Simulated X-ray diffraction stick pattern of KZrTeO5 for Cu Ka, from DFT lattice parameters and positions (PBE).
No peak broadening, texture or thermal motion is included.

Structure:
Unit cell a=7.6431 b=9.7789 c=8.1275 alpha=90.00 beta=116.85 gamma=90.00
Space group C2/c (No. 15)
Asymmetric unit:
K1 0.0000 0.1784 0.2500
Zr1 0.0000 0.5000 0.0000
Te1 0.0000 0.1989 0.7500
O1 0.0000 0.4640 0.2500
O2 0.0911 0.2900 0.5839
O3 0.1963 0.0706 0.8971

Top 8 peaks for 10 to 90 degrees two-theta, in order of rising 2θ:
2theta  d/Å  intensity  h k l
16.03  5.529  70  1 1 -1
23.41  3.800  35  1 1 1
23.79  3.740  100  1 1 -2
26.14  3.409  97  2 0 0
30.39  2.941  97  1 3 0
30.70  2.912  69  0 2 2
32.38  2.765  38  2 2 -2
47.89  1.899  32  2 2 2

2.
Simulated X-ray diffraction stick pattern of GdMgHgGe for Cu Ka, from DFT lattice parameters and positions (PBE).
No peak broadening, texture or thermal motion is included.

Structure:
Unit cell a=7.1436 b=7.1436 c=7.1436 alpha=90.00 beta=90.00 gamma=90.00
Space group F-43m (No. 216)
Asymmetric unit:
Gd1 0.0000 0.0000 0.0000
Mg1 0.0000 0.0000 0.5000
Hg1 0.2500 0.2500 0.2500
Ge1 0.2500 0.2500 0.7500

Top 8 peaks for 10 to 90 degrees two-theta, in order of rising 2θ:
2theta  d/Å  intensity  h k l
21.55  4.124  36  1 1 1
35.54  2.526  100  2 2 0
41.95  2.154  20  3 1 1
51.15  1.786  18  4 0 0
56.12  1.639  9  3 3 1
63.83  1.458  37  4 2 2
75.25  1.263  11  4 4 0
86.08  1.130  16  6 2 0

3.
Simulated X-ray diffraction stick pattern of Li6As2Pd for Cu Ka, from DFT lattice parameters and positions (PBE).
No peak broadening, texture or thermal motion is included.

Structure:
Unit cell a=7.2817 b=7.2817 c=2.8905 alpha=90.00 beta=90.00 gamma=120.00
Space group P6/mmm (No. 191)
Asymmetric unit:
Li1 0.0000 0.3340 0.0000
As1 0.3333 0.6667 0.5000
Pd1 0.0000 0.0000 0.5000

Top 8 peaks for 10 to 90 degrees two-theta, in order of rising 2θ:
2theta  d/Å  intensity  h k l
24.45  3.641  100  1 1 0
30.94  2.891  16  0 0 1
39.82  2.264  69  1 1 1
43.03  2.102  31  3 0 0
50.11  1.820  14  2 2 0
53.93  1.700  19  3 0 1
60.06  1.540  20  2 2 1
76.70  1.242  19  4 1 1

4.
Simulated X-ray diffraction stick pattern of AlAgHg2 for Cu Ka, from DFT lattice parameters and positions (PBE).
No peak broadening, texture or thermal motion is included.

Structure:
Unit cell a=3.6785 b=4.4813 c=5.2732 alpha=90.00 beta=102.63 gamma=90.00
Space group Pm (No. 6)
Asymmetric unit:
Al1 0.0000 0.0000 0.0000
Ag1 0.9073 0.5000 0.6931
Hg1 0.3478 0.0000 0.5298
Hg2 0.5578 0.5000 0.1470

Top 8 peaks for 10 to 90 degrees two-theta, in order of rising 2θ:
2theta  d/Å  intensity  h k l
26.37  3.379  58  0 1 1
31.94  2.802  45  1 1 0
33.41  2.682  36  1 0 1
33.72  2.658  100  1 1 -1
38.33  2.348  26  1 0 -2
39.15  2.301  34  1 1 1
40.25  2.241  40  0 2 0
40.43  2.231  44  0 1 2

5.
Simulated X-ray diffraction stick pattern of Rb3Ti2I9 for Cu Ka, from DFT lattice parameters and positions (PBE).
No peak broadening, texture or thermal motion is included.

Structure:
Unit cell a=14.0383 b=14.0383 c=21.2774 alpha=90.00 beta=90.00 gamma=120.00
Space group R-3c (No. 167, hexagonal axes)
Asymmetric unit:
Rb1 0.0000 0.3395 0.2500
Ti1 0.0000 0.0000 0.1702
I1 0.0000 0.1635 0.7500
I2 0.0001 0.1659 0.0988

Top 8 peaks for 10 to 90 degrees two-theta, in order of rising 2θ:
2theta  d/Å  intensity  h k l
25.11  3.546  23  0 0 6
25.38  3.510  17  2 2 0
28.37  3.146  100  2 2 3
36.00  2.495  20  2 2 6
44.72  2.026  22  6 0 0
46.30  1.961  17  2 2 9
51.98  1.759  18  6 0 6
53.82  1.703  16  4 4 3

6.
Simulated X-ray diffraction stick pattern of AlPd9Pt4 for Cu Ka, from DFT lattice parameters and positions (PBE).
No peak broadening, texture or thermal motion is included.

Structure:
Unit cell a=7.8259 b=7.8259 c=8.4875 alpha=90.00 beta=90.00 gamma=120.00
Space group P6_3/mmc (No. 194)
Asymmetric unit:
Al1 0.3333 0.6667 0.2500
Pd1 0.0557 0.5279 0.7500
Pd2 0.2098 0.4195 0.0348
Pt1 0.0000 0.0000 0.0000
Pt2 0.1153 0.2305 0.7500

Top 8 peaks for 10 to 90 degrees two-theta, in order of rising 2θ:
2theta  d/Å  intensity  h k l
13.06  6.777  46  1 0 0
41.16  2.193  100  2 1 2
41.36  2.183  45  3 0 1
41.58  2.172  24  2 0 3
42.61  2.122  25  0 0 4
69.24  1.357  21  3 0 5
72.46  1.304  13  3 3 0
73.32  1.291  16  5 0 2

7.
Simulated X-ray diffraction stick pattern of RbCa2In6 for Cu Ka, from DFT lattice parameters and positions (PBE).
No peak broadening, texture or thermal motion is included.

Structure:
Unit cell a=4.2720 b=8.6925 c=15.0927 alpha=90.00 beta=90.00 gamma=90.00
Space group Immm (No. 71)
Asymmetric unit:
Rb1 0.0000 0.0000 0.0000
Ca1 0.0000 0.5000 0.1342
In1 0.0000 0.1714 0.5000
In2 0.0000 0.3154 0.3168

Top 8 peaks for 10 to 90 degrees two-theta, in order of rising 2θ:
2theta  d/Å  intensity  h k l
21.62  4.110  31  1 0 1
26.07  3.418  55  1 1 2
29.92  2.986  57  1 2 1
35.74  2.512  100  0 3 3
36.45  2.465  36  1 0 5
39.43  2.285  31  1 3 2
42.14  2.144  28  1 2 5
56.57  1.627  36  2 3 3

8.
Simulated X-ray diffraction stick pattern of Ag8HgAu4 for Cu Ka, from DFT lattice parameters and positions (PBE).
No peak broadening, texture or thermal motion is included.

Structure:
Unit cell a=4.7530 b=2.8937 c=18.2541 alpha=90.00 beta=90.01 gamma=90.00
Space group Pm (No. 6)
Asymmetric unit:
Ag1 0.0000 0.0000 0.0000
Ag2 0.0001 0.0000 0.2814
Ag3 0.0001 0.5000 0.4229
Ag4 0.0005 0.5000 0.7055
Ag5 0.5001 0.0000 0.1903
Ag6 0.5002 0.0000 0.4736
Ag7 0.5000 0.5000 0.0472
Ag8 0.5003 0.5000 0.6156
Hg1 0.9990 0.5000 0.8619
Au1 0.0003 0.0000 0.5646
Au2 0.0001 0.5000 0.1388
Au3 0.5004 0.0000 0.7614
Au4 0.5001 0.5000 0.3323

Top 8 peaks for 10 to 90 degrees two-theta, in order of rising 2θ:
2theta  d/Å  intensity  h k l
34.37  2.609  13  0 0 7
36.76  2.445  28  0 1 4
37.86  2.376  36  2 0 0
39.38  2.288  100  1 0 7
41.55  2.173  26  1 1 -4
53.81  1.704  15  2 1 -4
69.39  1.354  18  3 0 7
78.18  1.223  13  1 2 7

Please write out number 6 again, unchanged.
Simulated X-ray diffraction stick pattern of AlPd9Pt4 for Cu Ka, from DFT lattice parameters and positions (PBE).
No peak broadening, texture or thermal motion is included.

Structure:
Unit cell a=7.8259 b=7.8259 c=8.4875 alpha=90.00 beta=90.00 gamma=120.00
Space group P6_3/mmc (No. 194)
Asymmetric unit:
Al1 0.3333 0.6667 0.2500
Pd1 0.0557 0.5279 0.7500
Pd2 0.2098 0.4195 0.0348
Pt1 0.0000 0.0000 0.0000
Pt2 0.1153 0.2305 0.7500

Top 8 peaks for 10 to 90 degrees two-theta, in order of rising 2θ:
2theta  d/Å  intensity  h k l
13.06  6.777  46  1 0 0
41.16  2.193  100  2 1 2
41.36  2.183  45  3 0 1
41.58  2.172  24  2 0 3
42.61  2.122  25  0 0 4
69.24  1.357  21  3 0 5
72.46  1.304  13  3 3 0
73.32  1.291  16  5 0 2